# Rb3Pd2IBr9
Calculated powder diffractogram, a wavelength of 1.5418 Å. Input: the GGA-PBE geometry in Alexandria.

Crystal structure
Cell: 7.7303 7.7303 9.7361 Å, 90.00 90.00 120.00°
Space group P-3m1 (No. 164)
Asymmetric unit:
Rb: 0.0000 0.0000 0.0000
Rb: 0.3333 0.6667 0.6887
Pd: 0.3333 0.6667 0.1536
I: 0.0000 0.0000 0.5000
Br: 0.0000 0.5000 0.0000
Br: 0.1809 0.3618 0.3085

Largest 12 diffraction maxima, sorted by position, 15° ≤ 2θ ≤ 90°:
2theta	intensity
16.1	39
22.6	21
23.0	19
27.5	11
28.2	35
32.5	100
46.1	32
47.0	34
58.3	17
68.0	9
76.7	10
78.0	14